No. 1
Diffraction record for KNaNbO2. The powder XRD pattern is calculated, not measured: it uses a cell relaxed with PBE and Cu Kα (weighted mean of Kα1 and Kα2).
Intensities are scaled so that the largest is 100.

Structure:
a b c (Å): 4.5234 4.5234 4.7561
angles (deg): 90.00 90.00 90.00
Space group P4/mmm (No. 123)
Unique sites:
K 0.0000 0.0000 0.0000 (multiplicity 1)
Na 0.5000 0.5000 0.5000 (multiplicity 1)
Nb 0.5000 0.5000 0.0000 (multiplicity 1)
O 0.0000 0.5000 0.5000 (multiplicity 2)

Most intense lines, 2θ = 15–90°, in order of rising 2θ:
2θ/deg	intensity
18.7	32
19.6	58
27.9	63
33.8	100
37.8	32
39.9	55
47.7	29
56.1	36
57.6	17
68.5	21

---

No. 2
Diffraction record for InPd2Rh. The powder XRD pattern is calculated, not measured: it uses a cell relaxed with PBE and Cu Kα (weighted mean of Kα1 and Kα2).
Intensities are scaled so that the largest is 100.

Structure:
a b c (Å): 3.9760 3.9760 4.0819
angles (deg): 90.00 90.00 90.00
Space group P4/mmm (No. 123)
Unique sites:
In 0.0000 0.0000 0.0000 (multiplicity 1)
Pd 0.0000 0.5000 0.5000 (multiplicity 2)
Rh 0.5000 0.5000 0.0000 (multiplicity 1)

Most intense lines, 2θ = 15–90°, in order of rising 2θ:
2θ/deg	intensity
38.9	100
44.4	17
45.6	31
65.6	21
66.5	10
78.0	12
79.8	24
83.5	11

---

No. 3
Diffraction record for PrDy2Co. The powder XRD pattern is calculated, not measured: it uses a cell relaxed with PBE and Cu Kα (weighted mean of Kα1 and Kα2).
Intensities are scaled so that the largest is 100.

Structure:
a b c (Å): 6.9933 9.5415 6.3891
angles (deg): 90.00 90.00 90.00
Space group Pnma (No. 62)
Unique sites:
Pr 0.0442 0.2500 0.1393 (multiplicity 4)
Dy 0.1708 0.0695 0.6760 (multiplicity 8)
Co 0.1138 0.7500 0.4349 (multiplicity 4)

Most intense lines, 2θ = 15–90°, in order of rising 2θ:
2θ/deg	intensity
30.6	40
30.8	44
31.4	100
31.7	44
32.2	70
34.0	42
34.8	66
38.2	31
53.4	29
56.8	43

---

No. 4
Diffraction record for In5Bi2Br12. The powder XRD pattern is calculated, not measured: it uses a cell relaxed with PBE and Cu Kα (weighted mean of Kα1 and Kα2).
Intensities are scaled so that the largest is 100.

Structure:
a b c (Å): 18.3801 8.5676 10.1114
angles (deg): 90.00 112.27 90.00
Space group C2/m (No. 12)
Unique sites:
In 0.0000 0.0000 0.0000 (multiplicity 2)
In 0.1852 0.5000 0.3237 (multiplicity 4)
In 0.2397 0.5000 0.8782 (multiplicity 4)
Bi 0.0000 0.2542 0.5000 (multiplicity 4)
Br 0.0089 0.0000 0.7040 (multiplicity 4)
Br 0.0111 0.5000 0.7073 (multiplicity 4)
Br 0.1210 0.2315 0.0812 (multiplicity 8)
Br 0.1672 0.2632 0.5933 (multiplicity 8)

Most intense lines, 2θ = 15–90°, in order of rising 2θ:
2θ/deg	intensity
17.8	53
20.5	57
27.5	100
28.2	80
29.3	45
29.6	35
33.6	67
35.7	58
39.9	60
42.2	54